Diffraction record for MnP4. The XRD peak list is calculated, not measured: it uses a crystal structure in the Materials Project, relaxed with GGA-PBE and copper Kα.
Kinematic intensities with the Lorentz-polarization factor, no thermal factor.

Cell and atoms:
a = 5.8443 Å, b = 5.8443 Å, c = 21.7856 Å
α = 94.14°, β = 94.14°, γ = 51.71°
Atoms (fractional coordinates):
Mn 0.0432 0.8079 0.5704
Mn 0.1171 0.5145 0.6818
Mn 0.1921 0.9568 0.9296
Mn 0.4855 0.8829 0.8182
Mn 0.5145 0.1171 0.1818
Mn 0.8079 0.0432 0.0704
Mn 0.8829 0.4855 0.3182
Mn 0.9568 0.1921 0.4296
P 0.0073 0.0445 0.3297
P 0.0350 0.4132 0.9508
P 0.0445 0.0073 0.8297
P 0.0509 0.2934 0.2159
P 0.0944 0.7539 0.4635
P 0.1780 0.3620 0.5835
P 0.2461 0.9056 0.0365
P 0.2934 0.0509 0.7159
P 0.3296 0.3489 0.3307
P 0.3408 0.5014 0.9256
P 0.3489 0.3296 0.8307
P 0.3620 0.1780 0.0835
P 0.3627 0.5719 0.2000
P 0.4132 0.0350 0.4508
P 0.4281 0.6373 0.3000
P 0.4986 0.6592 0.5744
P 0.5014 0.3408 0.4256
P 0.5719 0.3627 0.7000
P 0.5868 0.9650 0.5492
P 0.6373 0.4281 0.8000
P 0.6380 0.8220 0.9165
P 0.6511 0.6704 0.1693
P 0.6592 0.4986 0.0744
P 0.6704 0.6511 0.6693
P 0.7066 0.9491 0.2841
P 0.7539 0.0944 0.9635
P 0.8220 0.6380 0.4165
P 0.9056 0.2461 0.5365
P 0.9491 0.7066 0.7841
P 0.9555 0.9927 0.1703
P 0.9650 0.5868 0.0492
P 0.9927 0.9555 0.6703

Peak list (10 most intense, 2θ = 10–80°, by angle)
19.65°, intensity 35
23.33°, intensity 34
31.58°, intensity 75
32.67°, intensity 62
33.00°, intensity 100
34.24°, intensity 36
39.37°, intensity 37
50.34°, intensity 28
51.00°, intensity 29
52.36°, intensity 36

=====

Diffraction record for TiNbP3O12. The XRD peak list is calculated, not measured: it uses a crystal structure in the Materials Project, relaxed with GGA-PBE and copper Kα.
Kinematic intensities with the Lorentz-polarization factor, no thermal factor.

Cell and atoms:
a = 8.9492 Å, b = 8.9492 Å, c = 8.9492 Å
α = 58.41°, β = 58.41°, γ = 58.41°
Atoms (fractional coordinates):
Ti 0.0000 0.0000 0.0000
Ti 0.5000 0.5000 0.5000
Nb 0.2813 0.2813 0.2813
Nb 0.7813 0.7813 0.7813
P 0.1133 0.3853 0.6777
P 0.1777 0.8853 0.6133
P 0.3853 0.6777 0.1133
P 0.6133 0.1777 0.8853
P 0.6777 0.1133 0.3853
P 0.8853 0.6133 0.1777
O 0.0050 0.8621 0.6386
O 0.0603 0.4338 0.2044
O 0.0793 0.2157 0.8526
O 0.1386 0.3621 0.5050
O 0.1448 0.9186 0.7804
O 0.2044 0.0603 0.4338
O 0.2157 0.8526 0.0793
O 0.2804 0.4186 0.6448
O 0.3526 0.7157 0.5793
O 0.3621 0.5050 0.1386
O 0.4186 0.6448 0.2804
O 0.4338 0.2044 0.0603
O 0.5050 0.1386 0.3621
O 0.5603 0.7044 0.9338
O 0.5793 0.3526 0.7157
O 0.6386 0.0050 0.8621
O 0.6448 0.2804 0.4186
O 0.7044 0.9338 0.5603
O 0.7157 0.5793 0.3526
O 0.7804 0.1448 0.9186
O 0.8526 0.0793 0.2157
O 0.8621 0.6386 0.0050
O 0.9186 0.7804 0.1448
O 0.9338 0.5603 0.7044

Peak list (10 most intense, 2θ = 10–80°, by angle)
14.17°, intensity 71
19.85°, intensity 92
20.34°, intensity 52
23.66°, intensity 100
28.57°, intensity 65
31.71°, intensity 44
35.32°, intensity 21
35.61°, intensity 21
45.58°, intensity 19
55.69°, intensity 19

=====

Diffraction record for CuAg5As3O11. The XRD peak list is calculated, not measured: it uses a crystal structure in the Materials Project, relaxed with GGA-PBE and copper Kα.
Kinematic intensities with the Lorentz-polarization factor, no thermal factor.

Cell and atoms:
a = 5.9910 Å, b = 9.1494 Å, c = 10.5402 Å
α = 96.93°, β = 91.23°, γ = 92.10°
Atoms (fractional coordinates):
Cu 0.0000 0.0000 0.0000
Cu 0.5000 0.0000 0.5000
Ag 0.0498 0.0091 0.6683
Ag 0.2113 0.3411 0.8105
Ag 0.2457 0.6762 0.6684
Ag 0.2469 0.6456 0.3699
Ag 0.2917 0.3233 0.1556
Ag 0.7083 0.6767 0.8444
Ag 0.7531 0.3544 0.6301
Ag 0.7543 0.3238 0.3316
Ag 0.7887 0.6589 0.1895
Ag 0.9502 0.9909 0.3317
As 0.2283 0.6826 0.0228
As 0.2449 0.2954 0.4878
As 0.4545 0.9659 0.1907
As 0.5455 0.0341 0.8093
As 0.7551 0.7046 0.5122
As 0.7717 0.3174 0.9772
O 0.0047 0.2103 0.9811
O 0.0262 0.1787 0.5245
O 0.1484 0.3900 0.3670
O 0.1780 0.5690 0.1361
O 0.2178 0.0545 0.1507
O 0.2955 0.9455 0.8250
O 0.3200 0.6003 0.8812
O 0.3416 0.4116 0.6201
O 0.4244 0.8915 0.3329
O 0.4662 0.1882 0.4290
O 0.4688 0.8028 0.0764
O 0.5312 0.1972 0.9236
O 0.5338 0.8118 0.5710
O 0.5756 0.1085 0.6671
O 0.6584 0.5884 0.3799
O 0.6800 0.3997 0.1188
O 0.7045 0.0545 0.1750
O 0.7822 0.9455 0.8493
O 0.8220 0.4310 0.8639
O 0.8516 0.6100 0.6330
O 0.9738 0.8213 0.4755
O 0.9953 0.7897 0.0189

Peak list (10 most intense, 2θ = 10–80°, by angle)
29.31°, intensity 33
29.53°, intensity 100
30.12°, intensity 53
31.10°, intensity 41
31.83°, intensity 51
32.78°, intensity 80
33.90°, intensity 55
35.27°, intensity 28
36.91°, intensity 32
53.72°, intensity 20

=====

Diffraction record for Tl5SbO5. The XRD peak list is calculated, not measured: it uses a crystal structure in the Materials Project, relaxed with GGA-PBE and copper Kα.
Kinematic intensities with the Lorentz-polarization factor, no thermal factor.

Cell and atoms:
a = 8.2119 Å, b = 8.2119 Å, c = 14.1335 Å
α = 90.00°, β = 90.00°, γ = 95.12°
Atoms (fractional coordinates):
Tl 0.0251 0.9749 0.5000
Tl 0.1032 0.5718 0.8938
Tl 0.1390 0.1878 0.7559
Tl 0.1389 0.5370 0.1509
Tl 0.1878 0.1390 0.2559
Tl 0.2420 0.7580 0.6611
Tl 0.3018 0.3812 0.5118
Tl 0.3812 0.3018 0.0118
Tl 0.4282 0.8968 0.8938
Tl 0.4630 0.8611 0.1509
Tl 0.5370 0.1389 0.6509
Tl 0.5718 0.1032 0.3938
Tl 0.6188 0.6982 0.5118
Tl 0.6982 0.6188 0.0118
Tl 0.7580 0.2420 0.1611
Tl 0.8122 0.8610 0.7559
Tl 0.8611 0.4630 0.6509
Tl 0.8610 0.8122 0.2559
Tl 0.8968 0.4282 0.3938
Tl 0.9749 0.0251 0.0000
Sb 0.2558 0.7442 0.3646
Sb 0.4936 0.5064 0.7811
Sb 0.5064 0.4936 0.2811
Sb 0.7442 0.2558 0.8646
O 0.0162 0.7226 0.3980
O 0.1945 0.8055 0.2306
O 0.2533 0.4814 0.7489
O 0.2583 0.5014 0.3204
O 0.2774 0.9838 0.3980
O 0.3193 0.6807 0.4963
O 0.4372 0.5628 0.9152
O 0.4459 0.5541 0.1484
O 0.4814 0.2533 0.2489
O 0.4986 0.7417 0.3204
O 0.5014 0.2583 0.8204
O 0.5186 0.7467 0.7489
O 0.5541 0.4459 0.6484
O 0.5628 0.4372 0.4152
O 0.6807 0.3193 0.9963
O 0.7226 0.0162 0.8980
O 0.7417 0.4986 0.8204
O 0.7467 0.5186 0.2489
O 0.8055 0.1945 0.7306
O 0.9838 0.2774 0.8980

Peak list (10 most intense, 2θ = 10–80°, by angle)
25.99°, intensity 31
28.24°, intensity 60
29.26°, intensity 100
29.48°, intensity 30
30.18°, intensity 18
31.65°, intensity 34
33.48°, intensity 32
35.28°, intensity 40
46.32°, intensity 21
58.40°, intensity 29

=====

Diffraction record for CdGeO3. The XRD peak list is calculated, not measured: it uses a crystal structure in the Materials Project, relaxed with GGA-PBE and copper Kα.
Kinematic intensities with the Lorentz-polarization factor, no thermal factor.

Cell and atoms:
a = 7.5615 Å, b = 7.5615 Å, c = 3.3594 Å
α = 97.53°, β = 97.53°, γ = 130.89°
Atoms (fractional coordinates):
Cd 0.1749 0.8251 0.5000
Cd 0.8251 0.1749 0.0000
Ge 0.4301 0.5871 0.3115
Ge 0.5871 0.4301 0.8115
O 0.1504 0.1940 0.9993
O 0.1819 0.5309 0.4617
O 0.1940 0.1504 0.4993
O 0.5309 0.1819 0.9617
O 0.6347 0.9028 0.3630
O 0.9028 0.6347 0.8630

Peak list (10 most intense, 2θ = 10–80°, by angle)
24.49°, intensity 100
28.02°, intensity 96
29.97°, intensity 70
30.92°, intensity 40
33.64°, intensity 28
35.95°, intensity 67
36.52°, intensity 84
38.51°, intensity 43
43.30°, intensity 48
55.22°, intensity 38

=====

Diffraction record for LiTi2Zn2P2O10. The XRD peak list is calculated, not measured: it uses a crystal structure in the Materials Project, relaxed with GGA-PBE and copper Kα.
Kinematic intensities with the Lorentz-polarization factor, no thermal factor.

Cell and atoms:
a = 5.4324 Å, b = 5.6533 Å, c = 7.6484 Å
α = 108.69°, β = 108.81°, γ = 93.17°
Atoms (fractional coordinates):
Li 0.0000 0.0000 0.0000
Ti 0.2748 0.3338 0.8883
Ti 0.2872 0.3342 0.4029
Zn 0.0391 0.6931 0.6200
Zn 0.5352 0.9706 0.1753
P 0.6072 0.9346 0.6197
P 0.9283 0.7023 0.1626
O 0.0321 0.5973 0.3295
O 0.0817 0.6472 0.0193
O 0.2084 0.4083 0.6477
O 0.3263 0.2198 0.1271
O 0.4351 0.9930 0.7495
O 0.5295 0.0559 0.4593
O 0.6046 0.6441 0.5280
O 0.6219 0.6164 0.0547
O 0.9134 0.0305 0.7502
O 0.9469 0.0015 0.2440

Peak list (10 most intense, 2θ = 10–80°, by angle)
25.72°, intensity 99
26.37°, intensity 19
26.49°, intensity 100
34.44°, intensity 18
35.51°, intensity 51
36.57°, intensity 23
37.59°, intensity 17
42.27°, intensity 27
52.05°, intensity 18
52.80°, intensity 21